# 1
For LaNiIrPb2, the GGA-PBE geometry in OQMD gives the simulated powder diffractogram in this record (Cu Ka).
Lines closer than 0.1° are merged.

The 6 most intense peaks (2θ = 5–70°), by angle:
index	Position (°2θ)	intensity
1 0 3	31.69	24
1 1 2	32.23	100
2 0 0	39.28	58
1 1 4	43.75	36
2 2 0	56.76	20
3 1 2	66.79	25

Crystal structure
Unit cell a=4.588 b=4.588 c=10.746 alpha=90.00 beta=90.00 gamma=90.00
Fractional coordinates of all 10 atoms:
1 La 0.250 0.250 0.236
2 La 0.750 0.750 0.764
3 Ni 0.250 0.250 0.624
4 Ni 0.750 0.750 0.376
5 Ir 0.250 0.750 0.000
6 Ir 0.750 0.250 0.000
7 Pb 0.250 0.250 0.858
8 Pb 0.250 0.750 0.500
9 Pb 0.750 0.250 0.500
10 Pb 0.750 0.750 0.142

---

# 2
For Nb4BiB3, the GGA-PBE geometry in OQMD gives the simulated powder diffractogram in this record (Cu Ka).
Lines closer than 0.1° are merged.

The 6 most intense peaks (2θ = 5–70°), by angle:
index	Position (°2θ)	intensity
0 0 2	7.19	56
1 0 1	31.15	61
1 0 4	34.27	60
1 0 5	36.04	100
1 0 6	38.09	75
1 1 0	55.01	47

Crystal structure
Unit cell a=3.338 b=3.338 c=24.589 alpha=90.00 beta=90.00 gamma=120.00
Fractional coordinates of all 16 atoms:
1 Nb 0.000 0.000 0.155
2 Nb 0.000 0.000 0.345
3 Nb 0.000 0.000 0.655
4 Nb 0.000 0.000 0.845
5 Nb 0.333 0.667 0.052
6 Nb 0.333 0.667 0.448
7 Nb 0.667 0.333 0.552
8 Nb 0.667 0.333 0.948
9 Bi 0.333 0.667 0.250
10 Bi 0.667 0.333 0.750
11 B 0.000 0.000 0.000
12 B 0.000 0.000 0.500
13 B 0.333 0.667 0.607
14 B 0.333 0.667 0.893
15 B 0.667 0.333 0.107
16 B 0.667 0.333 0.393

---

# 3
For KHPtOF4, the GGA-PBE geometry in OQMD gives the simulated powder diffractogram in this record (Cu Ka).
Lines closer than 0.1° are merged.

The 6 most intense peaks (2θ = 5–70°), by angle:
index	Position (°2θ)	intensity
0 0 1	12.83	54
1 0 0	18.61	87
0 1 1	20.44	92
1 1 -1	24.81	88
1 1 1	30.46	100
1 1 -2	31.16	51

Crystal structure
Unit cell a=5.029 b=5.594 c=7.276 alpha=90.00 beta=108.48 gamma=90.00
Fractional coordinates of all 16 atoms:
1 K 0.138 0.000 0.308
2 K 0.862 0.500 0.692
3 H 0.218 0.470 0.356
4 H 0.782 0.970 0.644
5 Pt 0.481 0.051 0.834
6 Pt 0.519 0.551 0.166
7 O 0.422 0.437 0.387
8 O 0.578 0.937 0.613
9 F 0.107 0.925 0.682
10 F 0.148 0.680 0.037
11 F 0.357 0.357 0.714
12 F 0.379 0.220 0.062
13 F 0.621 0.720 0.938
14 F 0.643 0.857 0.286
15 F 0.852 0.180 0.963
16 F 0.893 0.425 0.318